Calculated X-ray powder pattern
Compound: Pa2CrGaO8
Radiation: a wavelength of 1.5418 Å
Structure: a cell relaxed with PBE+U
No peak broadening, texture or thermal motion is included.

Lattice parameters (Å, degrees): 4.751 4.751 6.952 90.00 90.00 91.29
Positions (direct):
Pa 0.000 0.000 0.250
Pa 0.000 0.000 0.750
Cr 0.500 0.500 0.000
Ga 0.500 0.500 0.500
O 0.201 0.201 0.000
O 0.207 0.207 0.500
O 0.315 0.685 0.248
O 0.315 0.685 0.752
O 0.685 0.315 0.248
O 0.685 0.315 0.752
O 0.793 0.793 0.500
O 0.799 0.799 0.000

Largest 12 diffraction maxima, sorted by position, 10 to 90 degrees two-theta:
| Position (°2θ) | intensity |
| --- | --- |
| 18.68 | 62 |
| 25.63 | 16 |
| 26.23 | 53 |
| 26.84 | 48 |
| 31.90 | 100 |
| 37.45 | 23 |
| 37.88 | 26 |
| 42.15 | 14 |
| 46.30 | 15 |
| 49.99 | 39 |
| 50.69 | 35 |
| 64.69 | 21 |



Calculated X-ray powder pattern
Compound: Tb2CrGaO6
Radiation: a wavelength of 1.5418 Å
Structure: a cell relaxed with PBE+U
No peak broadening, texture or thermal motion is included.

Lattice parameters (Å, degrees): 5.267 5.267 4.577 90.00 90.00 90.00
Positions (direct):
Tb 0.000 0.500 0.000
Tb 0.500 0.000 0.000
Cr 0.000 0.000 0.597
Ga 0.500 0.500 0.570
O 0.000 0.000 0.168
O 0.253 0.253 0.704
O 0.253 0.747 0.704
O 0.500 0.500 0.167
O 0.747 0.253 0.704
O 0.747 0.747 0.704

Largest 12 diffraction maxima, sorted by position, 10 to 90 degrees two-theta:
| Position (°2θ) | intensity |
| --- | --- |
| 19.39 | 23 |
| 23.89 | 13 |
| 30.95 | 100 |
| 34.04 | 39 |
| 39.37 | 10 |
| 39.48 | 18 |
| 46.58 | 17 |
| 48.91 | 23 |
| 53.03 | 30 |
| 59.01 | 32 |
| 64.51 | 9 |
| 69.84 | 10 |